# AlPtRh4
Theoretical powder X-ray diffraction pattern, Cu Kα (λ = 1.5418 Å). Input: a crystal structure in Alexandria, relaxed with PBE.
Kinematic intensities with the Lorentz-polarization factor, no thermal factor.

The 10 most intense peaks (2θ = 15–90°), most intense first:
d (Å)  2θ/deg  intensity  (hkl)
2.103  43.01  100  0 2 -2
2.218  40.67  78  2 -2 0
2.091  43.26  49  2 0 1
2.087  43.37  48  2 0 -2
2.081  43.49  48  0 2 1
2.076  43.60  48  -1 1 3
2.366  38.03  47  1 1 1
2.376  37.86  25  1 1 -2
4.173  21.29  24  1 0 -1
1.250  76.13  18  -2 4 1

Lattice parameters (Å, degrees): 5.2088 5.2191 7.2443 96.65 95.11 116.65
Space group P-1 (No. 2)
One atom of each set of equivalent atoms:
Al1 0.1758 0.4267 0.2172
Pt1 0.0096 0.2663 0.5586
Rh1 0.1492 0.9017 0.1089
Rh2 0.3250 0.0682 0.7780
Rh3 0.3556 0.5967 0.8867
Rh4 0.4851 0.2384 0.4489